Diffraction record for DyMoClO4. The PXRD pattern is calculated, not measured: it uses a cell relaxed with PBE+U and λ = 1.5418 Å (Cu Kα).

Cell and atoms:
a = 6.323 Å, b = 6.323 Å, c = 6.931 Å
α = 104.01°, β = 104.01°, γ = 70.83°
Atoms (fractional coordinates):
Dy  0.222  0.222  0.113
Dy  0.778  0.778  0.887
Mo  0.362  0.362  0.731
Mo  0.638  0.638  0.269
Cl  0.011  0.011  0.768
Cl  0.989  0.989  0.232
O  0.109  0.491  0.847
O  0.293  0.293  0.465
O  0.457  0.457  0.203
O  0.491  0.109  0.847
O  0.509  0.891  0.153
O  0.543  0.543  0.797
O  0.707  0.707  0.535
O  0.891  0.509  0.153

Most intense lines, 5° ≤ 2θ ≤ 70°, low angle first:
two_theta, d [Å], intensity
13.38, 6.619, 63
18.03, 4.920, 54
24.29, 3.664, 100
25.57, 3.484, 54
28.51, 3.131, 56
29.22, 3.057, 58
34.52, 2.598, 41
35.56, 2.525, 27
45.73, 1.984, 27
45.91, 1.976, 23
46.46, 1.955, 21
49.73, 1.833, 32